# 1
For La2GdMg3CdIn2, a crystal structure in OQMD, relaxed with GGA-PBE gives the theoretical PXRD pattern in this record (Cu Ka).
No peak broadening, texture or thermal motion is included.

Atomic structure:
```
data_La2GdMg3CdIn2
_chemical_formula_sum 'La4 Gd2 Mg6 Cd2 In4'
_cell_length_a 4.787
_cell_length_b 13.305
_cell_length_c 7.784
_cell_angle_alpha 90.00
_cell_angle_beta 90.00
_cell_angle_gamma 90.00
_symmetry_space_group_name_H-M 'A m m 2'
_symmetry_Int_Tables_number 38
_symmetry_space_group_name_Hall 'A 2 -2'
loop_
_atom_site_label
_atom_site_type_symbol
_atom_site_fract_x
_atom_site_fract_y
_atom_site_fract_z
La1 La 0.000 0.211 0.000
Gd1 Gd 0.000 0.000 0.366
Mg1 Mg 0.500 0.000 0.026
Mg2 Mg 0.500 0.119 0.667
Cd1 Cd 0.000 0.000 0.779
In1 In 0.500 0.162 0.289
```

Principal peaks in the range 2θ = 10–90°, most intense first:
| 2θ/deg | intensity |
| --- | --- |
| 32.6 | 100 |
| 29.8 | 73 |
| 32.8 | 57 |
| 37.6 | 41 |
| 40.3 | 34 |
| 29.6 | 31 |



# 2
For Gd3Mg3CdIn2, a crystal structure in OQMD, relaxed with GGA-PBE gives the theoretical PXRD pattern in this record (Cu Ka).
No peak broadening, texture or thermal motion is included.

Atomic structure:
```
data_Gd3Mg3CdIn2
_chemical_formula_sum 'Gd3 Mg3 Cd1 In2'
_cell_length_a 7.5666
_cell_length_b 7.5666
_cell_length_c 4.6758
_cell_angle_alpha 90.00
_cell_angle_beta 90.00
_cell_angle_gamma 120.00
_symmetry_space_group_name_H-M 'P -6 2 m'
_symmetry_Int_Tables_number 189
_symmetry_space_group_name_Hall 'P -6 -2'
loop_
_atom_site_label
_atom_site_type_symbol
_atom_site_fract_x
_atom_site_fract_y
_atom_site_fract_z
Gd1 Gd 0.0000 0.4229 0.0000
Mg1 Mg 0.0000 0.7592 0.5000
Cd1 Cd 0.0000 0.0000 0.0000
In1 In 0.3333 0.6667 0.5000
```

Principal peaks in the range 2θ = 10–90°, most intense first:
| 2θ/deg | intensity |
| --- | --- |
| 33.4 | 100 |
| 30.4 | 68 |
| 41.3 | 39 |
| 38.5 | 26 |
| 23.5 | 24 |
| 27.2 | 22 |



# 3
For Gd3Mg2CdIn2Pd, a crystal structure in OQMD, relaxed with GGA-PBE gives the theoretical PXRD pattern in this record (Cu Ka).
No peak broadening, texture or thermal motion is included.

Atomic structure:
```
data_Gd3Mg2CdIn2Pd
_chemical_formula_sum 'Gd6 Mg4 Cd2 In4 Pd2'
_cell_length_a 4.523
_cell_length_b 13.010
_cell_length_c 7.547
_cell_angle_alpha 90.00
_cell_angle_beta 90.00
_cell_angle_gamma 90.00
_symmetry_space_group_name_H-M 'A m m 2'
_symmetry_Int_Tables_number 38
_symmetry_space_group_name_Hall 'A 2 -2'
loop_
_atom_site_label
_atom_site_type_symbol
_atom_site_fract_x
_atom_site_fract_y
_atom_site_fract_z
Gd1 Gd 0.000 0.000 0.000
Gd2 Gd 0.000 0.200 0.611
Mg1 Mg 0.500 0.115 0.294
Cd1 Cd 0.500 0.000 0.646
In1 In 0.500 0.169 0.912
Pd1 Pd 0.000 0.000 0.397
```

Principal peaks in the range 2θ = 10–90°, most intense first:
| 2θ/deg | intensity |
| --- | --- |
| 30.9 | 100 |
| 33.9 | 90 |
| 41.7 | 32 |
| 39.9 | 30 |
| 23.6 | 23 |
| 36.4 | 19 |



# 4
For GdCdInTe3, a crystal structure in OQMD, relaxed with GGA-PBE gives the theoretical PXRD pattern in this record (Cu Ka).
No peak broadening, texture or thermal motion is included.

Atomic structure:
```
data_GdCdInTe3
_chemical_formula_sum 'Gd4 Cd4 In4 Te12'
_cell_length_a 19.366
_cell_length_b 4.402
_cell_length_c 9.661
_cell_angle_alpha 90.00
_cell_angle_beta 103.50
_cell_angle_gamma 90.00
_symmetry_space_group_name_H-M 'C 1 2/m 1'
_symmetry_Int_Tables_number 12
_symmetry_space_group_name_Hall '-C 2y'
loop_
_atom_site_label
_atom_site_type_symbol
_atom_site_fract_x
_atom_site_fract_y
_atom_site_fract_z
Gd1 Gd 0.175 0.000 0.090
Cd1 Cd 0.030 0.500 0.221
In1 In 0.135 0.000 0.576
Te1 Te 0.000 0.000 0.000
Te2 Te 0.000 0.500 0.500
Te3 Te 0.163 0.500 0.859
Te4 Te 0.183 0.500 0.320
```

Principal peaks in the range 2θ = 10–90°, most intense first:
| 2θ/deg | intensity |
| --- | --- |
| 27.4 | 100 |
| 28.4 | 44 |
| 39.7 | 29 |
| 41.0 | 27 |
| 37.2 | 26 |
| 44.0 | 25 |



# 5
For GdTm2Cd4In2, a crystal structure in OQMD, relaxed with GGA-PBE gives the theoretical PXRD pattern in this record (Cu Ka).
No peak broadening, texture or thermal motion is included.

Atomic structure:
```
data_GdTm2Cd4In2
_chemical_formula_sum 'Gd2 Tm4 Cd8 In4'
_cell_length_a 4.602
_cell_length_b 12.968
_cell_length_c 7.415
_cell_angle_alpha 90.00
_cell_angle_beta 90.00
_cell_angle_gamma 90.00
_symmetry_space_group_name_H-M 'A m m 2'
_symmetry_Int_Tables_number 38
_symmetry_space_group_name_Hall 'A 2 -2'
loop_
_atom_site_label
_atom_site_type_symbol
_atom_site_fract_x
_atom_site_fract_y
_atom_site_fract_z
Gd1 Gd 0.000 0.000 0.000
Tm1 Tm 0.000 0.214 0.642
Cd1 Cd 0.000 0.000 0.433
Cd2 Cd 0.500 0.000 0.672
Cd3 Cd 0.500 0.121 0.307
In1 In 0.500 0.168 0.928
```

Principal peaks in the range 2θ = 10–90°, most intense first:
| 2θ/deg | intensity |
| --- | --- |
| 34.0 | 100 |
| 30.8 | 69 |
| 33.8 | 48 |
| 39.1 | 46 |
| 31.0 | 37 |
| 54.8 | 35 |



# 6
For K2PrGd2Mg3Cd, a crystal structure in OQMD, relaxed with GGA-PBE gives the theoretical PXRD pattern in this record (Cu Ka).
No peak broadening, texture or thermal motion is included.

Atomic structure:
```
data_K2PrGd2Mg3Cd
_chemical_formula_sum 'K4 Pr2 Gd4 Mg6 Cd2'
_cell_length_a 4.889
_cell_length_b 14.351
_cell_length_c 8.219
_cell_angle_alpha 90.00
_cell_angle_beta 90.00
_cell_angle_gamma 90.00
_symmetry_space_group_name_H-M 'A m m 2'
_symmetry_Int_Tables_number 38
_symmetry_space_group_name_Hall 'A 2 -2'
loop_
_atom_site_label
_atom_site_type_symbol
_atom_site_fract_x
_atom_site_fract_y
_atom_site_fract_z
K1 K 0.000 0.167 0.000
Pr1 Pr 0.500 0.000 0.127
Gd1 Gd 0.500 0.190 0.687
Mg1 Mg 0.000 0.000 0.720
Mg2 Mg 0.000 0.108 0.398
Cd1 Cd 0.500 0.000 0.512
```

Principal peaks in the range 2θ = 10–90°, most intense first:
| 2θ/deg | intensity |
| --- | --- |
| 28.3 | 100 |
| 18.1 | 65 |
| 28.4 | 58 |
| 21.5 | 53 |
| 31.0 | 49 |
| 37.8 | 39 |



# 7
For Gd2Lu3Cd3, a crystal structure in OQMD, relaxed with GGA-PBE gives the theoretical PXRD pattern in this record (Cu Ka).
No peak broadening, texture or thermal motion is included.

Atomic structure:
```
data_Gd2Lu3Cd3
_chemical_formula_sum 'Gd2 Lu3 Cd3'
_cell_length_a 6.671
_cell_length_b 5.376
_cell_length_c 6.689
_cell_angle_alpha 90.00
_cell_angle_beta 117.97
_cell_angle_gamma 90.00
_symmetry_space_group_name_H-M 'P 1 m 1'
_symmetry_Int_Tables_number 6
_symmetry_space_group_name_Hall 'P -2y'
loop_
_atom_site_label
_atom_site_type_symbol
_atom_site_fract_x
_atom_site_fract_y
_atom_site_fract_z
Gd1 Gd 0.000 0.000 0.000
Gd2 Gd 0.315 0.500 0.697
Lu1 Lu 0.493 0.000 0.501
Lu2 Lu 0.802 0.500 0.185
Lu3 Lu 0.982 0.000 0.505
Cd1 Cd 0.321 0.500 0.192
Cd2 Cd 0.497 0.000 0.009
Cd3 Cd 0.811 0.500 0.676
```

Principal peaks in the range 2θ = 10–90°, most intense first:
| 2θ/deg | intensity |
| --- | --- |
| 34.7 | 100 |
| 33.3 | 34 |
| 35.5 | 32 |
| 60.4 | 20 |
| 31.2 | 17 |
| 30.3 | 15 |



# 8
For Gd3Mg3Cd2, a crystal structure in OQMD, relaxed with GGA-PBE gives the theoretical PXRD pattern in this record (Cu Ka).
No peak broadening, texture or thermal motion is included.

Atomic structure:
```
data_Gd3Mg3Cd2
_chemical_formula_sum 'Gd6 Mg6 Cd4'
_cell_length_a 5.316
_cell_length_b 6.876
_cell_length_c 11.330
_cell_angle_alpha 90.00
_cell_angle_beta 90.00
_cell_angle_gamma 90.00
_symmetry_space_group_name_H-M 'A m m 2'
_symmetry_Int_Tables_number 38
_symmetry_space_group_name_Hall 'A 2 -2'
loop_
_atom_site_label
_atom_site_type_symbol
_atom_site_fract_x
_atom_site_fract_y
_atom_site_fract_z
Gd1 Gd 0.000 0.000 0.000
Gd2 Gd 0.500 0.239 0.584
Mg1 Mg 0.000 0.246 0.256
Mg2 Mg 0.500 0.000 0.331
Cd1 Cd 0.000 0.000 0.505
Cd2 Cd 0.500 0.000 0.837
```

Principal peaks in the range 2θ = 10–90°, most intense first:
| 2θ/deg | intensity |
| --- | --- |
| 34.9 | 100 |
| 35.9 | 45 |
| 15.6 | 44 |
| 33.7 | 36 |
| 30.4 | 25 |
| 31.0 | 22 |



# 9
For Gd5MgCd2, a crystal structure in OQMD, relaxed with GGA-PBE gives the theoretical PXRD pattern in this record (Cu Ka).
No peak broadening, texture or thermal motion is included.

Atomic structure:
```
data_Gd5MgCd2
_chemical_formula_sum 'Gd10 Mg2 Cd4'
_cell_length_a 5.446
_cell_length_b 7.004
_cell_length_c 11.632
_cell_angle_alpha 90.00
_cell_angle_beta 90.00
_cell_angle_gamma 90.00
_symmetry_space_group_name_H-M 'A m m 2'
_symmetry_Int_Tables_number 38
_symmetry_space_group_name_Hall 'A 2 -2'
loop_
_atom_site_label
_atom_site_type_symbol
_atom_site_fract_x
_atom_site_fract_y
_atom_site_fract_z
Gd1 Gd 0.000 0.000 0.000
Gd2 Gd 0.000 0.248 0.239
Gd3 Gd 0.500 0.240 0.430
Mg1 Mg 0.500 0.000 0.677
Cd1 Cd 0.000 0.000 0.498
Cd2 Cd 0.500 0.000 0.173
```

Principal peaks in the range 2θ = 10–90°, most intense first:
| 2θ/deg | intensity |
| --- | --- |
| 34.1 | 100 |
| 32.9 | 33 |
| 35.0 | 30 |
| 59.5 | 20 |
| 30.7 | 18 |
| 64.8 | 16 |



# 10
For Gd2MgCdPd4, a crystal structure in OQMD, relaxed with GGA-PBE gives the theoretical PXRD pattern in this record (Cu Ka).
No peak broadening, texture or thermal motion is included.

Atomic structure:
```
data_Gd2MgCdPd4
_chemical_formula_sum 'Gd4 Mg2 Cd2 Pd8'
_cell_length_a 5.320
_cell_length_b 4.837
_cell_length_c 18.069
_cell_angle_alpha 90.00
_cell_angle_beta 90.00
_cell_angle_gamma 90.00
_symmetry_space_group_name_H-M 'A m m 2'
_symmetry_Int_Tables_number 38
_symmetry_space_group_name_Hall 'A 2 -2'
loop_
_atom_site_label
_atom_site_type_symbol
_atom_site_fract_x
_atom_site_fract_y
_atom_site_fract_z
Gd1 Gd 0.000 0.000 0.000
Gd2 Gd 0.000 0.000 0.194
Mg1 Mg 0.000 0.000 0.388
Cd1 Cd 0.000 0.000 0.808
Pd1 Pd 0.258 0.000 0.668
Pd2 Pd 0.259 0.000 0.518
```

Principal peaks in the range 2θ = 10–90°, most intense first:
| 2θ/deg | intensity |
| --- | --- |
| 16.7 | 100 |
| 39.0 | 97 |
| 46.4 | 87 |
| 35.3 | 72 |
| 29.7 | 68 |
| 37.2 | 58 |



# 11
For Gd3Mg3Tl2Cd, a crystal structure in OQMD, relaxed with GGA-PBE gives the theoretical PXRD pattern in this record (Cu Ka).
No peak broadening, texture or thermal motion is included.

Atomic structure:
```
data_Gd3Mg3Tl2Cd
_chemical_formula_sum 'Gd3 Mg3 Tl2 Cd1'
_cell_length_a 7.5950
_cell_length_b 7.5950
_cell_length_c 4.6499
_cell_angle_alpha 90.00
_cell_angle_beta 90.00
_cell_angle_gamma 120.00
_symmetry_space_group_name_H-M 'P -6 2 m'
_symmetry_Int_Tables_number 189
_symmetry_space_group_name_Hall 'P -6 -2'
loop_
_atom_site_label
_atom_site_type_symbol
_atom_site_fract_x
_atom_site_fract_y
_atom_site_fract_z
Gd1 Gd 0.0000 0.4239 0.0000
Mg1 Mg 0.0000 0.7604 0.5000
Tl1 Tl 0.3333 0.6667 0.5000
Cd1 Cd 0.0000 0.0000 0.0000
```

Principal peaks in the range 2θ = 10–90°, most intense first:
| 2θ/deg | intensity |
| --- | --- |
| 33.4 | 100 |
| 30.4 | 84 |
| 41.2 | 54 |
| 23.4 | 53 |
| 65.0 | 50 |
| 54.0 | 28 |



# 12
For GdTm2Mg3Tl2Cd, a crystal structure in OQMD, relaxed with GGA-PBE gives the theoretical PXRD pattern in this record (Cu Ka).
No peak broadening, texture or thermal motion is included.

Atomic structure:
```
data_GdTm2Mg3Tl2Cd
_chemical_formula_sum 'Gd2 Tm4 Mg6 Tl4 Cd2'
_cell_length_a 4.605
_cell_length_b 13.099
_cell_length_c 7.484
_cell_angle_alpha 90.00
_cell_angle_beta 90.00
_cell_angle_gamma 90.00
_symmetry_space_group_name_H-M 'A m m 2'
_symmetry_Int_Tables_number 38
_symmetry_space_group_name_Hall 'A 2 -2'
loop_
_atom_site_label
_atom_site_type_symbol
_atom_site_fract_x
_atom_site_fract_y
_atom_site_fract_z
Gd1 Gd 0.000 0.000 0.000
Tm1 Tm 0.000 0.214 0.359
Mg1 Mg 0.500 0.000 0.331
Mg2 Mg 0.500 0.120 0.691
Tl1 Tl 0.500 0.169 0.073
Cd1 Cd 0.000 0.000 0.566
```

Principal peaks in the range 2θ = 10–90°, most intense first:
| 2θ/deg | intensity |
| --- | --- |
| 33.8 | 100 |
| 30.6 | 76 |
| 23.6 | 52 |
| 33.6 | 47 |
| 30.8 | 41 |
| 39.1 | 39 |